[1]
For Pr2MgZn10, a cell relaxed with PBE gives the calculated X-ray diffraction stick pattern in this record (copper Kα).

Top 8 peaks for 10° ≤ 2θ ≤ 90°, by angle:
| d (Å) | Position (°2θ) | I_rel |
| --- | --- | --- |
| 2.665 | 33.6 | 53 |
| 2.603 | 34.4 | 50 |
| 2.531 | 35.5 | 100 |
| 2.491 | 36.1 | 52 |
| 2.476 | 36.3 | 51 |
| 2.383 | 37.8 | 38 |
| 2.240 | 40.3 | 33 |
| 1.893 | 48.1 | 36 |

Structure:
abc: 5.8600 6.9569 12.0801
angles: 90.00 91.77 90.00
Sites, in units of the cell vectors:
Pr  0.0345  0.2287  0.4395
Pr  0.0345  0.2713  0.9395
Pr  0.9655  0.7287  0.0605
Pr  0.9655  0.7713  0.5605
Mg  0.5000  0.0000  0.0000
Mg  0.5000  0.5000  0.5000
Zn  0.1611  0.6489  0.3301
Zn  0.1611  0.8511  0.8301
Zn  0.2164  0.1344  0.6958
Zn  0.2164  0.3656  0.1958
Zn  0.2402  0.5065  0.7256
Zn  0.2402  0.9935  0.2256
Zn  0.4360  0.6255  0.9326
Zn  0.4360  0.8745  0.4326
Zn  0.4662  0.7014  0.1624
Zn  0.4662  0.7986  0.6624
Zn  0.5338  0.2014  0.3376
Zn  0.5338  0.2986  0.8376
Zn  0.5640  0.1255  0.5674
Zn  0.5640  0.3745  0.0674
Zn  0.7598  0.0065  0.7744
Zn  0.7598  0.4935  0.2744
Zn  0.7836  0.6344  0.8042
Zn  0.7836  0.8656  0.3042
Zn  0.8389  0.1489  0.1699
Zn  0.8389  0.3511  0.6699

***

[2]
For Pr3Mg2Zn2, a cell relaxed with PBE gives the calculated X-ray diffraction stick pattern in this record (copper Kα).

Top 8 peaks for 10° ≤ 2θ ≤ 90°, by angle:
| d (Å) | Position (°2θ) | I_rel |
| --- | --- | --- |
| 4.772 | 18.6 | 23 |
| 3.601 | 24.7 | 77 |
| 2.924 | 30.6 | 61 |
| 2.828 | 31.6 | 100 |
| 2.789 | 32.1 | 27 |
| 2.465 | 36.4 | 27 |
| 2.406 | 37.4 | 29 |
| 2.359 | 38.1 | 39 |

Structure:
abc: 4.7179 6.1310 7.1489
angles: 81.36 89.84 67.48
Sites, in units of the cell vectors:
Pr  0.0000  0.0000  0.0000
Pr  0.3638  0.2725  0.6377
Pr  0.6362  0.7275  0.3623
Mg  0.3133  0.3743  0.1451
Mg  0.6867  0.6257  0.8549
Zn  0.0909  0.8178  0.6294
Zn  0.9091  0.1822  0.3706

***

[3]
For Pr2MgZn7, a cell relaxed with PBE gives the calculated X-ray diffraction stick pattern in this record (copper Kα).

Top 8 peaks for 10° ≤ 2θ ≤ 90°, by angle:
| d (Å) | Position (°2θ) | I_rel |
| --- | --- | --- |
| 3.011 | 29.7 | 24 |
| 2.798 | 32.0 | 64 |
| 2.648 | 33.8 | 100 |
| 2.129 | 42.5 | 55 |
| 1.973 | 46.0 | 33 |
| 1.694 | 54.1 | 28 |
| 1.447 | 64.4 | 23 |
| 1.309 | 72.2 | 21 |

Structure:
abc: 4.2586 4.2586 11.1311
angles: 90.00 90.00 90.00
Sites, in units of the cell vectors:
Pr  0.0000  0.5000  0.2338
Pr  0.5000  0.0000  0.7662
Mg  0.0000  0.0000  0.5000
Zn  0.0000  0.0000  0.0000
Zn  0.0000  0.5000  0.6487
Zn  0.0000  0.5000  0.8732
Zn  0.5000  0.0000  0.1268
Zn  0.5000  0.0000  0.3513
Zn  0.5000  0.5000  0.0000
Zn  0.5000  0.5000  0.5000

***

[4]
For PrMg3Zn3, a cell relaxed with PBE gives the calculated X-ray diffraction stick pattern in this record (copper Kα).

Top 8 peaks for 10° ≤ 2θ ≤ 90°, by angle:
| d (Å) | Position (°2θ) | I_rel |
| --- | --- | --- |
| 7.380 | 12.0 | 65 |
| 2.916 | 30.7 | 31 |
| 2.789 | 32.1 | 24 |
| 2.406 | 37.4 | 100 |
| 2.380 | 37.8 | 24 |
| 1.810 | 50.4 | 13 |
| 1.379 | 68.0 | 21 |
| 1.334 | 70.6 | 13 |

Structure:
abc: 8.5123 4.7599 8.5251
angles: 90.00 119.94 90.00
Sites, in units of the cell vectors:
Pr  0.1661  0.2500  0.3330
Pr  0.8339  0.7500  0.6670
Mg  0.2504  0.2500  0.7721
Mg  0.2729  0.7500  0.0222
Mg  0.4782  0.7500  0.7503
Mg  0.5218  0.2500  0.2497
Mg  0.7271  0.2500  0.9778
Mg  0.7496  0.7500  0.2279
Zn  0.0283  0.2500  0.9234
Zn  0.1051  0.7500  0.5277
Zn  0.4231  0.7500  0.3953
Zn  0.5769  0.2500  0.6047
Zn  0.8949  0.2500  0.4723
Zn  0.9717  0.7500  0.0766

***

[5]
For PrMgZn3, a cell relaxed with PBE gives the calculated X-ray diffraction stick pattern in this record (copper Kα).

Top 8 peaks for 10° ≤ 2θ ≤ 90°, by angle:
| d (Å) | Position (°2θ) | I_rel |
| --- | --- | --- |
| 6.855 | 12.9 | 18 |
| 3.699 | 24.1 | 14 |
| 2.903 | 30.8 | 18 |
| 2.702 | 33.2 | 78 |
| 2.617 | 34.3 | 100 |
| 2.266 | 39.8 | 17 |
| 2.197 | 41.1 | 34 |
| 1.511 | 61.4 | 14 |

Structure:
abc: 9.0644 4.3936 10.4765
angles: 90.00 90.00 90.00
Sites, in units of the cell vectors:
Pr  0.1711  0.2500  0.0089
Pr  0.3289  0.7500  0.5089
Pr  0.6711  0.2500  0.4911
Pr  0.8289  0.7500  0.9911
Mg  0.0622  0.2500  0.3987
Mg  0.4378  0.7500  0.8987
Mg  0.5622  0.2500  0.1013
Mg  0.9378  0.7500  0.6013
Zn  0.0913  0.7500  0.2160
Zn  0.1350  0.7500  0.7996
Zn  0.1391  0.2500  0.6539
Zn  0.3609  0.7500  0.1539
Zn  0.3650  0.2500  0.2996
Zn  0.4087  0.2500  0.7160
Zn  0.5913  0.7500  0.2840
Zn  0.6350  0.7500  0.7004
Zn  0.6391  0.2500  0.8461
Zn  0.8609  0.7500  0.3461
Zn  0.8650  0.2500  0.2004
Zn  0.9087  0.2500  0.7840

***

[6]
For PrMg8Zn4, a cell relaxed with PBE gives the calculated X-ray diffraction stick pattern in this record (copper Kα).

Top 8 peaks for 10° ≤ 2θ ≤ 90°, by angle:
| d (Å) | Position (°2θ) | I_rel |
| --- | --- | --- |
| 6.886 | 12.9 | 14 |
| 4.876 | 18.2 | 19 |
| 3.444 | 25.9 | 41 |
| 2.813 | 31.8 | 16 |
| 2.437 | 36.9 | 100 |
| 2.180 | 41.4 | 18 |
| 1.724 | 53.1 | 21 |
| 1.406 | 66.5 | 17 |

Structure:
abc: 7.4405 7.4405 7.4405
angles: 98.26 98.26 135.46
Sites, in units of the cell vectors:
Pr  0.0000  0.0000  0.0000
Mg  0.0000  0.3464  0.3464
Mg  0.0000  0.6536  0.6536
Mg  0.2841  0.5000  0.7841
Mg  0.3464  0.0000  0.3464
Mg  0.5000  0.2841  0.7841
Mg  0.5000  0.7159  0.2159
Mg  0.6536  0.0000  0.6536
Mg  0.7159  0.5000  0.2159
Zn  0.0000  0.0000  0.5000
Zn  0.0000  0.5000  0.0000
Zn  0.5000  0.0000  0.0000
Zn  0.5000  0.5000  0.5000

***

[7]
For PrMg6Zn2, a cell relaxed with PBE gives the calculated X-ray diffraction stick pattern in this record (copper Kα).

Top 8 peaks for 10° ≤ 2θ ≤ 90°, by angle:
| d (Å) | Position (°2θ) | I_rel |
| --- | --- | --- |
| 3.377 | 26.4 | 31 |
| 3.098 | 28.8 | 43 |
| 2.974 | 30.0 | 66 |
| 2.750 | 32.6 | 58 |
| 2.675 | 33.5 | 100 |
| 2.267 | 39.8 | 53 |
| 2.191 | 41.2 | 58 |
| 1.576 | 58.6 | 33 |

Structure:
abc: 4.3819 4.3819 10.5991
angles: 90.00 90.00 90.00
Sites, in units of the cell vectors:
Pr  0.0000  0.0000  0.0000
Mg  0.0000  0.0000  0.5000
Mg  0.0000  0.5000  0.2784
Mg  0.0000  0.5000  0.7216
Mg  0.5000  0.0000  0.2784
Mg  0.5000  0.0000  0.7216
Mg  0.5000  0.5000  0.5000
Zn  0.5000  0.5000  0.1161
Zn  0.5000  0.5000  0.8839

***

[8]
For Mg3Pt, a cell relaxed with PBE gives the calculated X-ray diffraction stick pattern in this record (copper Kα).

Top 8 peaks for 10° ≤ 2θ ≤ 90°, by angle:
| d (Å) | Position (°2θ) | I_rel |
| --- | --- | --- |
| 4.182 | 21.2 | 38 |
| 3.983 | 22.3 | 26 |
| 3.596 | 24.8 | 100 |
| 2.300 | 39.2 | 47 |
| 2.284 | 39.5 | 60 |
| 2.015 | 45.0 | 35 |
| 1.937 | 46.9 | 20 |
| 1.621 | 56.8 | 19 |

Structure:
abc: 7.9662 7.9662 8.3638
angles: 90.00 90.00 120.00
Sites, in units of the cell vectors:
Mg  0.0000  0.0000  0.0000
Mg  0.0000  0.0000  0.5000
Mg  0.0000  0.2828  0.2604
Mg  0.0000  0.3749  0.6045
Mg  0.0000  0.6251  0.1045
Mg  0.0000  0.7172  0.7604
Mg  0.2828  0.0000  0.2604
Mg  0.2828  0.2828  0.7604
Mg  0.3333  0.6667  0.3879
Mg  0.3333  0.6667  0.8879
Mg  0.3749  0.0000  0.6045
Mg  0.3749  0.3749  0.1045
Mg  0.6251  0.0000  0.1045
Mg  0.6251  0.6251  0.6045
Mg  0.6667  0.3333  0.3879
Mg  0.6667  0.3333  0.8879
Mg  0.7172  0.0000  0.7604
Mg  0.7172  0.7172  0.2604
Pt  0.0000  0.3275  0.9322
Pt  0.0000  0.6725  0.4322
Pt  0.3275  0.0000  0.9322
Pt  0.3275  0.3275  0.4322
Pt  0.6725  0.0000  0.4322
Pt  0.6725  0.6725  0.9322

***

[9]
For Mg3Pt2, a cell relaxed with PBE gives the calculated X-ray diffraction stick pattern in this record (copper Kα).

Top 8 peaks for 10° ≤ 2θ ≤ 90°, by angle:
| d (Å) | Position (°2θ) | I_rel |
| --- | --- | --- |
| 3.386 | 26.3 | 75 |
| 3.139 | 28.4 | 71 |
| 3.134 | 28.5 | 59 |
| 2.306 | 39.1 | 97 |
| 2.296 | 39.2 | 100 |
| 2.217 | 40.7 | 87 |
| 1.853 | 49.2 | 41 |
| 1.568 | 58.9 | 35 |

Structure:
abc: 4.4296 5.6012 7.4502
angles: 108.45 107.28 90.06
Sites, in units of the cell vectors:
Mg  0.0000  0.0000  0.0000
Mg  0.0000  0.5000  0.0000
Mg  0.2084  0.3117  0.4174
Mg  0.3911  0.1203  0.7816
Mg  0.6089  0.8797  0.2184
Mg  0.7916  0.6883  0.5826
Pt  0.1970  0.7989  0.3947
Pt  0.4060  0.6379  0.8110
Pt  0.5940  0.3621  0.1890
Pt  0.8030  0.2011  0.6053

***

[10]
For Mg2Pt5, a cell relaxed with PBE gives the calculated X-ray diffraction stick pattern in this record (copper Kα).

Top 8 peaks for 10° ≤ 2θ ≤ 90°, by angle:
| d (Å) | Position (°2θ) | I_rel |
| --- | --- | --- |
| 6.020 | 14.7 | 43 |
| 4.099 | 21.7 | 49 |
| 2.535 | 35.4 | 25 |
| 2.274 | 39.6 | 100 |
| 2.180 | 41.4 | 80 |
| 2.046 | 44.3 | 70 |
| 1.326 | 71.1 | 26 |
| 1.191 | 80.7 | 26 |

Structure:
abc: 6.9420 6.9420 5.5903
angles: 90.00 90.00 119.74
Sites, in units of the cell vectors:
Mg  0.0875  0.2877  0.0000
Mg  0.2877  0.0875  0.5000
Mg  0.7123  0.9125  0.5000
Mg  0.9125  0.7123  0.0000
Pt  0.1022  0.3504  0.5000
Pt  0.2628  0.7372  0.2500
Pt  0.2628  0.7372  0.7500
Pt  0.3504  0.1022  0.0000
Pt  0.5000  0.5000  0.2500
Pt  0.5000  0.5000  0.7500
Pt  0.6496  0.8978  0.0000
Pt  0.7372  0.2628  0.2500
Pt  0.7372  0.2628  0.7500
Pt  0.8978  0.6496  0.5000

***

[11]
For Mg5Pt3, a cell relaxed with PBE gives the calculated X-ray diffraction stick pattern in this record (copper Kα).

Top 8 peaks for 10° ≤ 2θ ≤ 90°, by angle:
| d (Å) | Position (°2θ) | I_rel |
| --- | --- | --- |
| 7.297 | 12.1 | 25 |
| 4.132 | 21.5 | 22 |
| 3.649 | 24.4 | 41 |
| 3.053 | 29.3 | 26 |
| 3.041 | 29.4 | 26 |
| 2.339 | 38.5 | 100 |
| 2.154 | 41.9 | 40 |
| 1.855 | 49.1 | 26 |

Structure:
abc: 7.9101 7.9057 4.3088
angles: 74.25 74.13 31.62
Sites, in units of the cell vectors:
Mg  0.0000  0.0000  0.0000
Mg  0.1342  0.1342  0.3658
Mg  0.3658  0.3658  0.1342
Mg  0.6342  0.6342  0.8658
Mg  0.8658  0.8658  0.6342
Pt  0.2459  0.2459  0.7541
Pt  0.5000  0.5000  0.5000
Pt  0.7541  0.7541  0.2459

***

[12]
For Mg3Pt, a cell relaxed with PBE gives the calculated X-ray diffraction stick pattern in this record (copper Kα).

Top 8 peaks for 10° ≤ 2θ ≤ 90°, by angle:
| d (Å) | Position (°2θ) | I_rel |
| --- | --- | --- |
| 4.920 | 18.0 | 100 |
| 4.042 | 22.0 | 67 |
| 3.416 | 26.1 | 21 |
| 3.171 | 28.1 | 29 |
| 2.353 | 38.2 | 35 |
| 2.324 | 38.7 | 76 |
| 2.242 | 40.2 | 26 |
| 2.233 | 40.4 | 31 |

Structure:
abc: 7.0899 7.0899 6.8330
angles: 90.00 90.00 90.00
Sites, in units of the cell vectors:
Mg  0.0000  0.5000  0.0000
Mg  0.0000  0.5000  0.5000
Mg  0.1571  0.1571  0.2459
Mg  0.1571  0.1571  0.7541
Mg  0.3429  0.6571  0.2541
Mg  0.3429  0.6571  0.7459
Mg  0.5000  0.0000  0.0000
Mg  0.5000  0.0000  0.5000
Mg  0.6571  0.3429  0.2541
Mg  0.6571  0.3429  0.7459
Mg  0.8429  0.8429  0.2459
Mg  0.8429  0.8429  0.7541
Pt  0.1464  0.8536  0.0000
Pt  0.3536  0.3536  0.5000
Pt  0.6464  0.6464  0.5000
Pt  0.8536  0.1464  0.0000